Computed XRD peak list of Ge4PbO9 for Cu Ka, from a PBE-relaxed structure.

Main lines, sorted by position (2θ from 15° to 90°):
- 2θ = 24.02°, I = 100
- 2θ = 30.95°, I = 56
- 2θ = 32.62°, I = 79
- 2θ = 45.58°, I = 30
- 2θ = 49.18°, I = 23
- 2θ = 51.04°, I = 24

```
42
Lattice="11.559 0.000 0.000 -5.779 10.010 0.000 0.000 0.000 4.829" Properties=species:S:1:pos:R:3 pbc="T T T"
Ge 0.000 0.000 0.000
Ge -1.042 1.805 2.414
Ge -1.111 4.911 1.924
Ge 2.084 0.000 2.414
Ge 0.000 6.674 4.290
Ge -0.971 8.517 1.924
Ge 4.808 1.493 2.905
Ge 2.082 6.593 1.924
Ge 4.668 5.099 2.905
Ge 5.779 3.337 0.539
Ge 4.737 8.205 2.414
Ge 7.861 3.418 2.905
Pb -3.895 6.746 0.000
Pb 1.885 3.264 0.000
Pb 7.789 0.000 0.000
O -2.822 4.887 2.414
O -4.537 9.072 3.681
O 0.192 1.545 3.681
O -0.622 3.252 1.415
O 1.242 0.938 1.148
O -1.396 6.013 0.569
O -2.652 8.923 1.415
O -1.385 7.386 3.216
O 0.075 5.118 3.216
O 3.128 1.087 3.414
O 1.271 5.795 0.569
O 0.126 8.213 0.569
O 5.643 0.000 2.414
O 1.310 7.517 3.216
O 4.394 2.624 1.613
O 2.958 5.123 2.414
O 4.383 3.998 4.260
O 5.905 1.797 4.260
O 3.274 7.845 1.415
O 7.089 2.494 1.613
O 5.855 4.892 1.613
O 5.157 6.758 3.414
O 7.050 4.215 4.260
O 4.345 9.404 3.681
O 9.054 2.165 3.414
O 10.125 0.607 1.148
O 5.971 8.465 1.148
```



Computed XRD peak list of GePbO3 for Cu Ka, from a PBE-relaxed structure.

Main lines, sorted by position (2θ from 15° to 90°):
- 2θ = 24.94°, I = 24
- 2θ = 26.30°, I = 32
- 2θ = 29.66°, I = 66
- 2θ = 29.79°, I = 100
- 2θ = 42.53°, I = 22
- 2θ = 52.82°, I = 44

```
30
Lattice="7.935 4.581 2.465 -7.935 4.581 2.465 0.000 -9.163 2.465" Properties=species:S:1:pos:R:3 pbc="T T T"
Ge -3.148 -0.590 3.535
Ge -1.063 -3.021 3.860
Ge -2.085 2.431 3.860
Ge 2.085 -2.431 3.535
Ge 1.063 3.021 3.535
Ge 3.148 0.590 3.860
Pb -5.530 1.710 2.197
Pb 1.284 -5.644 2.197
Pb -4.246 -3.934 5.198
Pb 4.246 3.934 2.197
Pb -1.284 5.644 5.198
Pb 5.530 -1.710 5.198
O -3.997 -0.007 2.106
O -0.880 -4.344 2.704
O -1.857 -1.687 2.943
O -3.322 2.934 2.704
O 2.005 -3.458 2.106
O -4.202 -1.410 4.691
O -0.533 2.452 2.943
O -1.992 -3.465 5.288
O -2.389 0.765 4.452
O 2.389 -0.765 2.943
O 1.992 3.465 2.106
O 0.533 -2.452 4.452
O 4.202 1.410 2.704
O -2.005 3.458 5.288
O 3.322 -2.934 4.691
O 1.857 1.687 4.452
O 0.880 4.344 4.691
O 3.997 0.007 5.288
```



Computed XRD peak list of Ge3Pb3O10 for Cu Ka, from a PBE-relaxed structure.

Main lines, sorted by position (2θ from 15° to 90°):
- 2θ = 24.90°, I = 24
- 2θ = 26.26°, I = 35
- 2θ = 29.61°, I = 63
- 2θ = 29.75°, I = 100
- 2θ = 33.72°, I = 23
- 2θ = 52.72°, I = 34

```
32
Lattice="7.407 0.000 0.000 -2.464 9.177 0.000 -2.466 -4.590 7.946" Properties=species:S:1:pos:R:3 pbc="T T T"
Ge 0.000 0.000 0.000
Ge -2.799 4.328 4.199
Ge -0.331 0.607 3.150
Ge 0.003 -1.819 5.247
Ge 2.139 1.557 6.897
Ge 4.939 3.722 1.049
Pb -1.676 1.515 6.334
Pb 1.344 3.209 0.804
Pb 1.349 -4.123 7.627
Pb 0.798 3.859 4.520
Pb 3.265 1.114 3.392
Pb 3.817 -1.776 5.809
O -3.381 5.998 4.499
O -1.758 1.060 4.080
O -1.883 4.295 2.645
O -1.154 -0.997 6.299
O 1.428 1.030 0.071
O -1.641 3.828 5.437
O 0.587 -0.723 3.951
O 0.826 1.929 2.964
O 0.442 6.678 2.089
O 1.429 -2.399 6.105
O 0.713 2.135 6.038
O 1.682 6.660 2.106
O 3.781 2.401 1.236
O 4.021 5.051 0.246
O 1.321 5.088 6.706
O 3.184 3.293 4.129
O 3.295 0.734 5.845
O 6.489 0.036 1.552
O 6.365 3.267 0.118
O 3.059 2.916 7.645
```



Computed XRD peak list of GePb3O5 for Cu Ka, from a PBE-relaxed structure.

Main lines, sorted by position (2θ from 15° to 90°):
- 2θ = 28.32°, I = 100
- 2θ = 28.61°, I = 100
- 2θ = 32.55°, I = 32
- 2θ = 33.20°, I = 64
- 2θ = 47.18°, I = 59
- 2θ = 56.20°, I = 30

```
9
Lattice="3.789 -3.845 0.000 3.789 3.845 0.000 0.000 0.000 5.501" Properties=species:S:1:pos:R:3 pbc="T T T"
Ge 0.000 0.000 0.000
Pb 1.894 1.922 2.724
Pb 1.894 -1.922 2.724
Pb 3.789 0.000 5.328
O 3.789 2.410 4.440
O 1.445 0.000 1.042
O 3.789 0.000 3.012
O 6.132 0.000 1.042
O 3.789 -2.410 4.440
```



Computed XRD peak list of Ge3Pb3O10 for Cu Ka, from a PBE-relaxed structure.

Main lines, sorted by position (2θ from 15° to 90°):
- 2θ = 24.90°, I = 24
- 2θ = 26.27°, I = 34
- 2θ = 29.61°, I = 61
- 2θ = 29.76°, I = 100
- 2θ = 33.73°, I = 23
- 2θ = 52.76°, I = 42

```
32
Lattice="7.942 4.586 2.469 -7.942 4.586 2.469 0.000 -9.171 2.469" Properties=species:S:1:pos:R:3 pbc="T T T"
Ge -2.102 -2.421 3.542
Ge -3.148 0.610 3.866
Ge 1.045 -3.031 3.866
Ge -1.045 3.031 3.542
Ge 3.148 -0.610 3.542
Ge 2.102 2.421 3.866
Pb -1.283 -5.640 2.198
Pb -4.243 3.931 2.198
Pb -5.526 -1.709 5.210
Pb 5.526 1.709 2.198
Pb 4.243 -3.931 5.210
Pb 1.283 5.640 5.210
O -2.031 -3.455 2.118
O 0.000 0.000 0.620
O -4.195 1.421 2.694
O -2.393 -0.751 2.955
O 0.866 -4.343 2.694
O -1.977 3.487 2.118
O -3.328 -2.922 4.714
O 1.846 -1.697 2.955
O -4.008 0.032 5.290
O -0.546 -2.447 4.453
O 0.546 2.447 2.955
O 4.008 -0.032 2.118
O -1.846 1.697 4.453
O 3.328 2.922 2.694
O 1.977 -3.487 5.290
O -0.866 4.343 4.714
O 2.393 0.751 4.453
O 4.195 -1.421 4.714
O 0.000 0.000 6.787
O 2.031 3.455 5.290
```



Computed XRD peak list of GePbO3 for Cu Ka, from a PBE-relaxed structure.

Main lines, sorted by position (2θ from 15° to 90°):
- 2θ = 23.92°, I = 95
- 2θ = 25.60°, I = 76
- 2θ = 26.11°, I = 61
- 2θ = 27.95°, I = 100
- 2θ = 28.74°, I = 66
- 2θ = 30.65°, I = 62

```
60
Lattice="11.688 0.000 0.000 0.000 7.356 0.000 -6.559 0.000 11.916" Properties=species:S:1:pos:R:3 pbc="T T T"
Ge -0.519 0.900 1.827
Ge -3.799 6.456 7.784
Ge -0.595 1.285 6.409
Ge 2.684 6.072 0.451
Ge 1.652 2.987 4.608
Ge -1.628 4.370 10.566
Ge 6.757 2.987 1.350
Ge 3.477 4.370 7.308
Ge 2.445 1.285 11.465
Ge 5.724 6.072 5.507
Ge 8.928 0.900 4.131
Ge 5.648 6.456 10.089
Pb -3.455 2.841 7.815
Pb -0.176 4.515 1.857
Pb 2.887 2.233 1.190
Pb -0.393 5.124 7.148
Pb -1.039 0.357 9.799
Pb 2.241 6.999 3.841
Pb 2.888 0.357 8.075
Pb 6.168 6.999 2.117
Pb 5.522 2.233 4.768
Pb 2.242 5.124 10.726
Pb 5.305 2.841 10.059
Pb 8.584 4.515 4.101
O -1.640 1.720 2.979
O -4.920 5.637 8.937
O 0.536 2.204 1.285
O -2.743 5.153 7.243
O -1.744 0.273 5.479
O -5.024 7.083 11.437
O -2.966 0.471 8.484
O 0.314 6.885 2.526
O -1.280 2.785 6.994
O 1.999 4.571 1.036
O -2.565 3.064 9.919
O 0.714 4.292 3.961
O 0.800 1.554 5.309
O -2.480 5.802 11.267
O 0.019 0.242 7.694
O 3.299 7.115 1.736
O 2.745 2.072 3.544
O -0.535 5.284 9.502
O 5.844 3.678 0.000
O 2.565 3.678 5.958
O 5.664 2.072 2.414
O 2.384 5.284 8.372
O 1.831 0.242 10.180
O 5.110 7.115 4.222
O 7.609 1.554 0.649
O 4.329 5.802 6.607
O 4.415 3.064 7.955
O 7.694 4.292 1.997
O 3.130 2.785 10.880
O 6.410 4.571 4.922
O 4.815 0.471 9.390
O 8.095 6.885 3.432
O 10.153 0.273 0.479
O 6.873 7.083 6.436
O 7.872 2.204 4.673
O 4.593 5.153 10.631
```